# 1
Theoretical X-ray powder pattern of FeMo3PtN for Cu Kα, 1.54184 Å, from a DFT-relaxed cell (GGA-PBE, Alexandria).
Kinematic intensities with the Lorentz-polarization factor, no thermal factor.

Most intense lines, 15° ≤ 2θ ≤ 90°, sorted by position:
2θ (°)  I/Imax  index
39.69  100  2 2 1
41.94  58  3 1 0
44.09  26  3 1 1
50.10  18  3 2 1
70.48  31  4 1 3
75.09  24  5 0 2

Lattice parameters (Å, degrees): 6.812 6.812 6.812 90.00 90.00 90.00
Space group P2_13 (No. 198)
Inequivalent atoms, fractional coordinates:
Fe: 0.182 0.182 0.182
Mo: 0.040 0.128 0.801
Pt: 0.065 0.935 0.435
N: 0.125 0.375 0.625

---

# 2
Theoretical X-ray powder pattern of FeMo6Rh3N2 for Cu Kα, 1.54184 Å, from a DFT-relaxed cell (GGA-PBE, Alexandria).
Kinematic intensities with the Lorentz-polarization factor, no thermal factor.

Most intense lines, 15° ≤ 2θ ≤ 90°, sorted by position:
2θ (°)  I/Imax  index
39.58  100  2 2 -1
39.74  38  1 2 2
39.80  65  2 1 2
41.82  20  1 0 -3
41.92  74  3 1 0
43.99  31  1 3 -1

Lattice parameters (Å, degrees): 6.806 6.819 6.819 90.00 90.47 90.00
Space group P2_1 (No. 4)
Inequivalent atoms, fractional coordinates:
Fe: 0.181 0.000 0.064
Mo: 0.048 0.938 0.453
Mo: 0.122 0.614 0.204
Mo: 0.204 0.362 0.873
Mo: 0.300 0.270 0.374
Mo: 0.374 0.018 0.703
Mo: 0.458 0.689 0.950
Rh: 0.060 0.751 0.821
Rh: 0.311 0.628 0.564
Rh: 0.430 0.879 0.303
N: 0.125 0.190 0.622
N: 0.374 0.442 0.126

---

# 3
Theoretical X-ray powder pattern of Fe3Mo6RhN2 for Cu Kα, 1.54184 Å, from a DFT-relaxed cell (GGA-PBE, Alexandria).
Kinematic intensities with the Lorentz-polarization factor, no thermal factor.

Most intense lines, 15° ≤ 2θ ≤ 90°, sorted by position:
2θ (°)  I/Imax  index
39.98  60  2 1 -2
40.04  36  2 2 -1
40.20  100  1 2 2
42.24  20  1 0 -3
42.38  74  1 3 0
44.59  24  1 3 -1

Lattice parameters (Å, degrees): 6.746 6.739 6.753 90.00 90.45 90.00
Space group P2_1 (No. 4)
Inequivalent atoms, fractional coordinates:
Fe: 0.065 0.000 0.325
Fe: 0.181 0.249 0.567
Fe: 0.424 0.140 0.811
Mo: 0.048 0.194 0.951
Mo: 0.119 0.862 0.701
Mo: 0.205 0.617 0.377
Mo: 0.294 0.518 0.871
Mo: 0.372 0.272 0.201
Mo: 0.451 0.946 0.458
Rh: 0.316 0.885 0.067
N: 0.126 0.446 0.122
N: 0.375 0.696 0.628